1.
LaOs2: simulated powder diffraction line list (a wavelength of 1.5418 Å), based on a DFT-relaxed cell (PBE, the Materials Project).

Structure:
```
12
Lattice="5.3835 0.0000 0.0000 -2.6918 4.6623 0.0000 0.0000 0.0000 9.2890" Properties=species:S:1:pos:R:3 pbc="T T T"
La 0.0000 3.1082 0.6081
La 0.0000 3.1082 4.0363
La 2.6918 1.5541 5.2526
La 2.6918 1.5541 8.6808
Os 0.0000 0.0000 0.0000
Os 0.0000 0.0000 4.6445
Os 0.0000 1.5827 6.9667
Os -1.3211 3.8709 6.9667
Os 1.3706 0.7913 2.3222
Os 1.3211 3.8709 6.9667
Os 4.0129 0.7913 2.3222
Os 2.6918 3.0796 2.3222
```

Largest 10 diffraction maxima, in order of falling intensity, 5° ≤ 2θ ≤ 70°:
2theta  intensity
38.66  1000
39.87  909
34.78  607
64.10  326
43.43  298
69.89  272
38.78  258
19.07  243
63.08  223
60.45  221

***

2.
LaSi3Os: simulated powder diffraction line list (a wavelength of 1.5418 Å), based on a DFT-relaxed cell (PBE, the Materials Project).

Structure:
```
5
Lattice="-2.1461 2.1461 5.0151 2.1461 -2.1461 5.0151 2.1461 2.1461 -5.0151" Properties=species:S:1:pos:R:3 pbc="T T T"
La 0.0000 0.0000 0.0000
Si 2.1461 0.0000 2.6309
Si 0.0000 0.0000 4.1993
Si 0.0000 2.1461 2.6309
Os 0.0000 0.0000 6.5810
```

Largest 10 diffraction maxima, in order of falling intensity, 5° ≤ 2θ ≤ 70°:
2theta  intensity
33.99  1000
29.43  620
22.53  544
55.18  506
42.10  455
34.54  410
17.69  229
63.54  182
50.20  181
61.06  151

***

3.
LaP7: simulated powder diffraction line list (a wavelength of 1.5418 Å), based on a DFT-relaxed cell (PBE, the Materials Project).

Structure:
```
32
Lattice="7.0432 0.0000 0.0000 0.0000 11.7165 0.0000 -6.6068 0.0000 7.9560" Properties=species:S:1:pos:R:3 pbc="T T T"
La -0.6238 1.7676 1.7209
La -3.9272 4.0907 5.6989
La 4.3636 7.6259 2.2571
La 1.0602 9.9489 6.2351
P -2.2101 0.1403 4.0347
P 1.0934 5.7180 0.0567
P -2.6104 7.0184 5.3890
P 0.6930 10.5564 1.4110
P 0.3653 8.4307 1.9864
P -2.9381 9.1441 5.9644
P 1.7667 7.7637 0.3884
P -1.5367 9.8111 4.3664
P -3.8076 0.3994 7.2269
P -0.5042 5.4589 3.2489
P 2.0215 2.2253 0.2193
P -1.2820 3.6330 4.1973
P -2.3254 1.3505 5.8695
P 0.9780 4.5078 1.8915
P -0.5416 7.2088 6.0646
P 2.7618 10.3660 2.0866
P 1.7183 8.0835 3.7588
P -1.5851 9.4913 7.7368
P 0.9406 6.2577 4.7072
P 4.2440 11.3171 0.7292
P 1.9731 1.9055 3.5897
P -1.3303 3.9528 7.5677
P 3.3745 2.5724 1.9916
P 0.0711 3.2858 5.9696
P -0.2566 1.1601 6.5451
P 3.0468 4.6981 2.5671
P -0.6570 5.9985 7.8993
P 2.6464 11.5762 3.9213
```

Largest 10 diffraction maxima, in order of falling intensity, 5° ≤ 2θ ≤ 70°:
2theta  intensity
18.84  1000
29.44  839
26.46  691
26.10  530
32.58  529
30.51  501
41.49  475
27.43  475
28.21  435
36.63  408

***

4.
LaP2: simulated powder diffraction line list (a wavelength of 1.5418 Å), based on a DFT-relaxed cell (PBE, the Materials Project).

Structure:
```
24
Lattice="6.2764 -7.0038 0.0000 6.2764 7.0038 0.0000 -6.2160 0.0000 6.2971" Properties=species:S:1:pos:R:3 pbc="T T T"
La 3.1684 6.4662 3.1485
La -0.5888 3.8231 4.6962
La 1.3057 0.6014 3.7126
La 5.0228 2.6928 2.7753
La 4.4137 -0.6014 0.5640
La 2.5192 -3.8231 1.5477
La 1.9148 -2.6928 5.9239
La 6.2764 -6.4662 0.0000
P -3.0008 1.7829 5.3056
P 4.5642 5.1442 0.8926
P 2.5741 1.7008 1.1487
P 2.0064 5.1797 5.6488
P 2.4342 3.4328 4.3490
P 0.1072 -1.7829 2.1570
P -0.5339 -1.7008 4.2972
P 6.4588 1.6174 0.2347
P 3.5662 1.8050 5.3677
P 3.3508 -1.6174 3.3832
P 8.3320 0.4716 0.2907
P 5.2240 -0.4716 3.4393
P 5.5423 -3.4328 1.2005
P 1.4562 -5.1442 4.0411
P 6.6742 -1.8050 2.2192
P 5.1144 -5.1797 2.5003
```

Largest 10 diffraction maxima, in order of falling intensity, 5° ≤ 2θ ≤ 70°:
2theta  intensity
23.34  1000
23.18  997
31.18  947
29.19  877
34.46  789
21.50  761
34.29  750
39.29  520
33.54  511
29.46  497

***

5.
LaP: simulated powder diffraction line list (a wavelength of 1.5418 Å), based on a DFT-relaxed cell (PBE, the Materials Project).

Structure:
```
2
Lattice="0.0000 3.0255 3.0255 3.0255 0.0000 3.0255 3.0255 3.0255 0.0000" Properties=species:S:1:pos:R:3 pbc="T T T"
La 0.0000 0.0000 0.0000
P 3.0255 3.0255 3.0255
```

Largest 8 diffraction maxima, in order of falling intensity, 5° ≤ 2θ ≤ 70°:
2theta  intensity
29.52  1000
25.50  748
42.24  738
49.99  377
69.47  332
52.38  260
67.47  152
61.28  121

***

6.
LaP3: simulated powder diffraction line list (a wavelength of 1.5418 Å), based on a DFT-relaxed cell (PBE, the Materials Project).

Structure:
```
8
Lattice="5.8455 0.0000 0.0000 -2.9227 5.0623 0.0000 0.0000 0.0000 5.3920" Properties=species:S:1:pos:R:3 pbc="T T T"
La 0.0000 3.3749 1.3480
La 2.9227 1.6874 4.0440
P 0.0000 1.3826 4.0440
P -1.7254 4.3710 4.0440
P 1.1974 0.6913 1.3480
P 1.7254 4.3710 4.0440
P 4.6481 0.6913 1.3480
P 2.9227 3.6797 1.3480
```

Largest 10 diffraction maxima, in order of falling intensity, 5° ≤ 2θ ≤ 70°:
2theta  intensity
24.11  1000
39.32  935
33.23  374
30.59  352
45.79  236
63.48  221
35.46  203
69.14  167
50.62  158
49.39  153

***

7.
La7P12Pd17: simulated powder diffraction line list (a wavelength of 1.5418 Å), based on a DFT-relaxed cell (PBE, the Materials Project).

Structure:
```
36
Lattice="12.3823 -2.0617 0.0000 12.3823 2.0617 0.0000 -5.2227 0.0000 12.7463" Properties=species:S:1:pos:R:3 pbc="T T T"
La 0.0000 0.0000 0.0000
La -1.9389 0.0000 9.7189
La 0.7279 0.0000 6.3780
La 2.3504 0.0000 10.3713
La 17.1915 0.0000 2.3749
La 18.8140 0.0000 6.3682
La 21.4809 0.0000 3.0274
P 2.9417 0.0000 1.0119
P 4.6027 0.0000 4.8691
P 7.1061 0.0000 1.5162
P 6.0758 0.0000 8.5732
P 8.6660 0.0000 5.4329
P 11.2165 0.0000 2.1966
P 8.3254 0.0000 10.5497
P 10.8759 0.0000 7.3134
P 13.4662 0.0000 4.1731
P 12.4358 0.0000 11.2300
P 14.9393 0.0000 7.8772
P 16.6002 0.0000 11.7344
Pd -2.6114 0.0000 6.3731
Pd -0.1009 0.0000 3.1328
Pd 2.6500 0.0000 3.5417
Pd -0.1244 0.0000 12.5769
Pd 3.9975 0.0000 7.2753
Pd 6.7879 0.0000 3.9122
Pd 9.4509 0.0000 0.5322
Pd 5.5968 0.0000 10.8958
Pd 8.4743 0.0000 7.9697
Pd 11.0676 0.0000 4.7765
Pd 13.9451 0.0000 1.8505
Pd 10.0911 0.0000 12.2140
Pd 12.7540 0.0000 8.8341
Pd 15.5445 0.0000 5.4710
Pd 19.6664 0.0000 0.1694
Pd 16.8919 0.0000 9.2045
Pd 19.6429 0.0000 9.6135
```

Largest 10 diffraction maxima, in order of falling intensity, 5° ≤ 2θ ≤ 70°:
2theta  intensity
34.60  1000
43.94  643
31.71  532
35.10  500
37.79  264
33.57  249
37.14  217
39.37  169
63.93  164
28.94  162

***

8.
LaP2Pd2: simulated powder diffraction line list (a wavelength of 1.5418 Å), based on a DFT-relaxed cell (PBE, the Materials Project).

Structure:
```
5
Lattice="-2.1090 2.1090 5.0067 2.1090 -2.1090 5.0067 2.1090 2.1090 -5.0067" Properties=species:S:1:pos:R:3 pbc="T T T"
La 0.0000 0.0000 0.0000
P 0.0000 0.0000 3.8708
P 0.0000 0.0000 6.1426
Pd 2.1090 0.0000 2.5033
Pd 0.0000 2.1090 2.5033
```

Largest 10 diffraction maxima, in order of falling intensity, 5° ≤ 2θ ≤ 70°:
2theta  intensity
35.02  1000
42.88  367
34.26  233
22.88  173
57.11  162
35.87  155
63.92  140
62.25  119
55.99  111
50.44  97

***

9.
LaPPd: simulated powder diffraction line list (a wavelength of 1.5418 Å), based on a DFT-relaxed cell (PBE, the Materials Project).

Structure:
```
6
Lattice="4.2965 0.0000 0.0000 -2.1483 3.7209 0.0000 0.0000 0.0000 7.9753" Properties=species:S:1:pos:R:3 pbc="T T T"
La 0.0000 0.0000 0.0000
La 0.0000 0.0000 3.9876
P 0.0000 2.4806 1.9938
P 2.1483 1.2403 5.9814
Pd 0.0000 2.4806 5.9814
Pd 2.1483 1.2403 1.9938
```

Largest 10 diffraction maxima, in order of falling intensity, 5° ≤ 2θ ≤ 70°:
2theta  intensity
32.92  1000
42.06  450
63.68  258
54.42  235
26.43  185
45.49  119
23.91  116
41.76  56
50.36  33
52.04  30

***

10.
LaPPt: simulated powder diffraction line list (a wavelength of 1.5418 Å), based on a DFT-relaxed cell (PBE, the Materials Project).

Structure:
```
6
Lattice="4.2496 0.0000 0.0000 -2.1248 3.6803 0.0000 0.0000 0.0000 8.1456" Properties=species:S:1:pos:R:3 pbc="T T T"
La 0.0000 0.0000 0.0000
La 0.0000 0.0000 4.0728
P 0.0000 2.4535 2.0364
P 2.1248 1.2268 6.1092
Pt 0.0000 2.4535 6.1092
Pt 2.1248 1.2268 2.0364
```

Largest 10 diffraction maxima, in order of falling intensity, 5° ≤ 2θ ≤ 70°:
2theta  intensity
32.80  1000
26.58  527
42.55  511
63.25  316
54.74  233
41.32  171
44.49  150
50.87  95
68.42  80
60.81  56

***

11.
LaPRh: simulated powder diffraction line list (a wavelength of 1.5418 Å), based on a DFT-relaxed cell (PBE, the Materials Project).

Structure:
```
6
Lattice="-2.0689 2.0689 7.2481 2.0689 -2.0689 7.2481 2.0689 2.0689 -7.2481" Properties=species:S:1:pos:R:3 pbc="T T T"
La 0.0000 0.0000 0.0000
La 0.0000 2.0689 3.6241
P 2.0689 0.0000 4.7845
P 0.0000 0.0000 8.4086
Rh 2.0689 0.0000 2.3827
Rh 0.0000 0.0000 6.0067
```

Largest 10 diffraction maxima, in order of falling intensity, 5° ≤ 2θ ≤ 70°:
2theta  intensity
33.01  1000
37.89  497
28.40  404
43.75  367
59.24  264
49.20  228
67.93  171
52.99  143
63.60  119
24.56  90

***

12.
La2P3Rh3: simulated powder diffraction line list (a wavelength of 1.5418 Å), based on a DFT-relaxed cell (PBE, the Materials Project).

Structure:
```
8
Lattice="5.8246 0.0000 0.0000 0.0000 5.8246 0.0000 0.0000 0.0000 18.8775" Properties=species:S:1:pos:R:3 pbc="T T T"
La 0.0000 0.0000 4.4914
La 0.0000 0.0000 14.3860
P 0.0000 0.0000 0.0000
P 0.0000 0.0000 7.2881
P 0.0000 0.0000 11.5894
Rh 0.0000 0.0000 2.3227
Rh 0.0000 0.0000 9.4387
Rh 0.0000 0.0000 16.5548
```

Largest 10 diffraction maxima, in order of falling intensity, 5° ≤ 2θ ≤ 70°:
2theta  intensity
15.21  1000
21.58  439
34.43  259
30.70  177
41.28  129
52.31  128
20.78  120
44.24  106
49.49  91
49.73  76